Entry 1:
# TaCo4
Calculated XRD peak list, Cu Kα (λ = 1.5418 Å). Input: a crystal structure in OQMD, relaxed with PBE.
Neutral-atom scattering factors, no anomalous dispersion.

Most intense lines, 10° ≤ 2θ ≤ 90°, low angle first:
d = 6.268 Å, 14.13°, intensity 39; d = 2.498 Å, 35.95°, intensity 21; d = 2.338 Å, 38.51°, intensity 27; d = 2.150 Å, 42.03°, intensity 32; d = 2.089 Å, 43.31°, intensity 30; d = 2.068 Å, 43.78°, intensity 25; d = 2.014 Å, 45.02°, intensity 54; d = 1.953 Å, 46.49°, intensity 100; d = 1.908 Å, 47.67°, intensity 28; d = 1.262 Å, 75.32°, intensity 23

Atomic structure:
Unit cell a=8.8643 b=8.8643 c=4.6756 alpha=90.00 beta=90.00 gamma=90.00
Sites, in units of the cell vectors:
1 Ta 0.0000 0.0000 0.0000
2 Ta 0.1186 0.1186 0.5000
3 Ta 0.3814 0.6186 0.0000
4 Ta 0.5000 0.5000 0.5000
5 Ta 0.6186 0.3814 0.0000
6 Ta 0.8814 0.8814 0.5000
7 Co 0.0387 0.3756 0.5000
8 Co 0.0662 0.2724 0.0000
9 Co 0.1244 0.5387 0.0000
10 Co 0.1859 0.8141 0.2542
11 Co 0.1859 0.8141 0.7458
12 Co 0.2276 0.5662 0.5000
13 Co 0.2724 0.0662 0.0000
14 Co 0.3141 0.3141 0.2458
15 Co 0.3141 0.3141 0.7542
16 Co 0.3756 0.0387 0.5000
17 Co 0.4338 0.7724 0.5000
18 Co 0.4613 0.8756 0.0000
19 Co 0.5387 0.1244 0.0000
20 Co 0.5662 0.2276 0.5000
21 Co 0.6244 0.9613 0.5000
22 Co 0.6859 0.6859 0.2458
23 Co 0.6859 0.6859 0.7542
24 Co 0.7276 0.9338 0.0000
25 Co 0.7724 0.4338 0.5000
26 Co 0.8141 0.1859 0.2542
27 Co 0.8141 0.1859 0.7458
28 Co 0.8756 0.4613 0.0000
29 Co 0.9338 0.7276 0.0000
30 Co 0.9613 0.6244 0.5000

=====

Entry 2:
# Ta3Co10
Calculated XRD peak list, Cu Kα (λ = 1.5418 Å). Input: a crystal structure in OQMD, relaxed with PBE.
Neutral-atom scattering factors, no anomalous dispersion.

Most intense lines, 10° ≤ 2θ ≤ 90°, low angle first:
d = 8.357 Å, 10.59°, intensity 95; d = 2.495 Å, 35.99°, intensity 25; d = 2.381 Å, 37.78°, intensity 80; d = 2.290 Å, 39.34°, intensity 29; d = 2.142 Å, 42.18°, intensity 23; d = 2.069 Å, 43.75°, intensity 100; d = 1.995 Å, 45.47°, intensity 61; d = 1.907 Å, 47.68°, intensity 33; d = 1.287 Å, 73.61°, intensity 30; d = 1.191 Å, 80.70°, intensity 25

Atomic structure:
Unit cell a=8.7978 b=8.7978 c=8.7978 alpha=31.41 beta=31.41 gamma=31.41
Sites, in units of the cell vectors:
1 Ta 0.0000 0.0000 0.0000
2 Ta 0.3564 0.3564 0.3564
3 Ta 0.6436 0.6436 0.6436
4 Co 0.0860 0.0860 0.5752
5 Co 0.0860 0.5752 0.0860
6 Co 0.1640 0.1640 0.1640
7 Co 0.4248 0.9140 0.9140
8 Co 0.4556 0.4556 0.4556
9 Co 0.5444 0.5444 0.5444
10 Co 0.5752 0.0860 0.0860
11 Co 0.8360 0.8360 0.8360
12 Co 0.9140 0.4248 0.9140
13 Co 0.9140 0.9140 0.4248

=====

Entry 3:
# Ta4Co9
Calculated XRD peak list, Cu Kα (λ = 1.5418 Å). Input: a crystal structure in OQMD, relaxed with PBE.
Neutral-atom scattering factors, no anomalous dispersion.

Most intense lines, 10° ≤ 2θ ≤ 90°, low angle first:
d = 8.398 Å, 10.53°, intensity 82; d = 2.716 Å, 32.98°, intensity 29; d = 2.507 Å, 35.82°, intensity 33; d = 2.390 Å, 37.63°, intensity 100; d = 2.299 Å, 39.18°, intensity 42; d = 2.152 Å, 41.98°, intensity 60; d = 2.077 Å, 43.57°, intensity 48; d = 2.004 Å, 45.24°, intensity 43; d = 1.915 Å, 47.48°, intensity 34; d = 1.208 Å, 79.32°, intensity 28

Atomic structure:
Unit cell a=8.8404 b=8.8404 c=8.8404 alpha=31.37 beta=31.37 gamma=31.37
Sites, in units of the cell vectors:
1 Ta 0.0554 0.0554 0.0554
2 Ta 0.3339 0.3339 0.3339
3 Ta 0.6661 0.6661 0.6661
4 Ta 0.9446 0.9446 0.9446
5 Co 0.0864 0.5967 0.5967
6 Co 0.1551 0.1551 0.1551
7 Co 0.4033 0.4033 0.9136
8 Co 0.4033 0.9136 0.4033
9 Co 0.5000 0.5000 0.5000
10 Co 0.5967 0.0864 0.5967
11 Co 0.5967 0.5967 0.0864
12 Co 0.8449 0.8449 0.8449
13 Co 0.9136 0.4033 0.4033

=====

Entry 4:
# Ta5Co
Calculated XRD peak list, Cu Kα (λ = 1.5418 Å). Input: a crystal structure in OQMD, relaxed with PBE.
Neutral-atom scattering factors, no anomalous dispersion.

Most intense lines, 10° ≤ 2θ ≤ 90°, low angle first:
d = 2.678 Å, 33.46°, intensity 12; d = 2.351 Å, 38.28°, intensity 37; d = 2.329 Å, 38.65°, intensity 23; d = 2.261 Å, 39.88°, intensity 100; d = 2.159 Å, 41.84°, intensity 10; d = 2.035 Å, 44.51°, intensity 11; d = 1.488 Å, 62.42°, intensity 15; d = 1.464 Å, 63.55°, intensity 12; d = 1.359 Å, 69.13°, intensity 18; d = 1.339 Å, 70.30°, intensity 17

Atomic structure:
Unit cell a=5.4354 b=5.4354 c=16.2810 alpha=90.00 beta=90.00 gamma=120.00
Sites, in units of the cell vectors:
1 Ta 0.0000 0.0000 0.0939
2 Ta 0.0000 0.0000 0.4061
3 Ta 0.0000 0.0000 0.5939
4 Ta 0.0000 0.0000 0.9061
5 Ta 0.0000 0.5000 0.0000
6 Ta 0.0000 0.5000 0.5000
7 Ta 0.1650 0.3299 0.2500
8 Ta 0.1650 0.8350 0.2500
9 Ta 0.3299 0.1650 0.7500
10 Ta 0.3333 0.6667 0.6555
11 Ta 0.3333 0.6667 0.8445
12 Ta 0.5000 0.0000 0.0000
13 Ta 0.5000 0.0000 0.5000
14 Ta 0.5000 0.5000 0.0000
15 Ta 0.5000 0.5000 0.5000
16 Ta 0.6667 0.3333 0.1555
17 Ta 0.6667 0.3333 0.3445
18 Ta 0.6701 0.8350 0.2500
19 Ta 0.8350 0.1650 0.7500
20 Ta 0.8350 0.6701 0.7500
21 Co 0.3333 0.6667 0.1251
22 Co 0.3333 0.6667 0.3749
23 Co 0.6667 0.3333 0.6251
24 Co 0.6667 0.3333 0.8749